For Cs2KScBr6, DFT lattice parameters and positions (GGA-PBE) gives the computed powder diffraction line list in this record (Cu Kα).
Kinematic intensities with the Lorentz-polarization factor, no thermal factor.

The 6 most intense peaks (2θ = 15–90°), low angle first:
2theta  d_spacing  intensity
21.53  4.126  22.4
26.45  3.369  100.0
30.64  2.918  81.0
43.88  2.063  55.1
51.97  1.760  39.5
72.43  1.305  20.5

Crystal structure
Cell lengths 8.2530, 8.2530, 8.2530 Å; angles 60.00, 60.00, 60.00 degrees
Element x y z (fractional)
Cs (0.2500, 0.2500, 0.2500)
Cs (0.7500, 0.7500, 0.7500)
K (0.0000, 0.0000, 0.0000)
Sc (0.5000, 0.5000, 0.5000)
Br (0.2715, 0.2715, 0.7285)
Br (0.2715, 0.7285, 0.2715)
Br (0.2715, 0.7285, 0.7285)
Br (0.7285, 0.2715, 0.2715)
Br (0.7285, 0.2715, 0.7285)
Br (0.7285, 0.7285, 0.2715)